Entry 1:
Structure and computed powder diffractogram of PrOF (DFT lattice parameters and positions (PBE); λ = 1.5418 Å (Cu Kα)).
Lines closer than 0.1° are merged.

Structural model:
```
PrOF
1.0
2.007 1.159 6.708
-2.007 1.159 6.708
0.000 -2.317 6.708
Pr O F
2 2 2
Direct
0.241 0.241 0.241 Pr
0.759 0.759 0.759 Pr
0.122 0.122 0.122 O
0.878 0.878 0.878 O
0.371 0.371 0.371 F
0.629 0.629 0.629 F
```

Largest 10 diffraction maxima, low angle first, 15 to 90 degrees two-theta:
| 2theta | Rel. int. |
| --- | --- |
| 26.58 | 31 |
| 27.14 | 100 |
| 31.28 | 35 |
| 44.45 | 35 |
| 45.18 | 39 |
| 52.54 | 12 |
| 53.18 | 27 |
| 53.50 | 15 |
| 65.25 | 10 |
| 72.56 | 12 |

=====

Entry 2:
Structure and computed powder diffractogram of ThSn2 (DFT lattice parameters and positions (PBE); λ = 1.5418 Å (Cu Kα)).
Lines closer than 0.1° are merged.

Structural model:
```
ThSn2
1.0
2.283 -8.403 0.000
2.283 8.403 0.000
0.000 0.000 4.466
Th Sn
2 4
Direct
0.102 0.898 0.750 Th
0.898 0.102 0.250 Th
0.251 0.749 0.250 Sn
0.439 0.561 0.750 Sn
0.561 0.439 0.250 Sn
0.749 0.251 0.750 Sn
```

Largest 10 diffraction maxima, low angle first, 15 to 90 degrees two-theta:
| 2theta | Rel. int. |
| --- | --- |
| 22.55 | 11 |
| 31.95 | 18 |
| 32.28 | 100 |
| 39.47 | 16 |
| 40.40 | 15 |
| 51.66 | 10 |
| 57.76 | 11 |
| 67.09 | 13 |
| 67.55 | 10 |
| 68.37 | 12 |

=====

What did the second record say?
Structure and computed powder diffractogram of ThSn2 (DFT lattice parameters and positions (PBE); λ = 1.5418 Å (Cu Kα)).
Lines closer than 0.1° are merged.

Structural model:
```
ThSn2
1.0
2.283 -8.403 0.000
2.283 8.403 0.000
0.000 0.000 4.466
Th Sn
2 4
Direct
0.102 0.898 0.750 Th
0.898 0.102 0.250 Th
0.251 0.749 0.250 Sn
0.439 0.561 0.750 Sn
0.561 0.439 0.250 Sn
0.749 0.251 0.750 Sn
```

Largest 10 diffraction maxima, low angle first, 15 to 90 degrees two-theta:
| 2theta | Rel. int. |
| --- | --- |
| 22.55 | 11 |
| 31.95 | 18 |
| 32.28 | 100 |
| 39.47 | 16 |
| 40.40 | 15 |
| 51.66 | 10 |
| 57.76 | 11 |
| 67.09 | 13 |
| 67.55 | 10 |
| 68.37 | 12 |